Entry 1:
Diffraction record for LaPaZnGa. The powder X-ray diffraction pattern is computed, not measured: it uses a crystal structure in Alexandria, relaxed with GGA-PBE and Cu Ka.
Peak positions follow from Bragg's law for the DFT cell and can differ from measured ones.

Atomic structure:
a = 7.2892 Å, b = 7.2892 Å, c = 7.2892 Å
α = 90.00°, β = 90.00°, γ = 90.00°
Fractional positions:
La 0.0000 0.0000 0.0000
La 0.0000 0.5000 0.5000
La 0.5000 0.0000 0.5000
La 0.5000 0.5000 0.0000
Pa 0.0000 0.0000 0.5000
Pa 0.0000 0.5000 0.0000
Pa 0.5000 0.0000 0.0000
Pa 0.5000 0.5000 0.5000
Zn 0.2500 0.2500 0.7500
Zn 0.2500 0.7500 0.2500
Zn 0.7500 0.2500 0.2500
Zn 0.7500 0.7500 0.7500
Ga 0.2500 0.2500 0.2500
Ga 0.2500 0.7500 0.7500
Ga 0.7500 0.2500 0.7500
Ga 0.7500 0.7500 0.2500

Main lines, by intensity (2θ = 15–90°):
2θ 34.81, I = 100
2θ 62.41, I = 37
2θ 24.42, I = 22
2θ 50.05, I = 18
2θ 83.96, I = 16
2θ 73.49, I = 11

=====

Entry 2:
Diffraction record for Tb5Pm3Pr3. The powder X-ray diffraction pattern is computed, not measured: it uses a crystal structure in Alexandria, relaxed with GGA-PBE and Cu Ka.
Peak positions follow from Bragg's law for the DFT cell and can differ from measured ones.

Atomic structure:
a = 9.6796 Å, b = 9.6796 Å, c = 5.5935 Å
α = 90.00°, β = 90.00°, γ = 120.00°
Fractional positions:
Tb 0.0000 0.7313 0.0000
Tb 0.2687 0.2687 0.0000
Tb 0.3333 0.6667 0.0000
Tb 0.6667 0.3333 0.0000
Tb 0.7313 0.0000 0.0000
Pm 0.0000 0.5322 0.5000
Pm 0.4678 0.4678 0.5000
Pm 0.5322 0.0000 0.5000
Pr 0.0000 0.3659 0.0000
Pr 0.3659 0.0000 0.0000
Pr 0.6341 0.6341 0.0000

Main lines, by intensity (2θ = 15–90°):
2θ 32.01, I = 100
2θ 35.93, I = 98
2θ 26.57, I = 74
2θ 15.84, I = 66
2θ 32.48, I = 62
2θ 59.63, I = 41

=====

Entry 3:
Diffraction record for TbNd2In6. The powder X-ray diffraction pattern is computed, not measured: it uses a crystal structure in Alexandria, relaxed with GGA-PBE and Cu Ka.
Peak positions follow from Bragg's law for the DFT cell and can differ from measured ones.

Atomic structure:
a = 8.6600 Å, b = 8.6600 Å, c = 3.6770 Å
α = 90.00°, β = 90.00°, γ = 120.00°
Fractional positions:
Tb 0.0000 0.0000 0.0000
Nd 0.3333 0.6667 0.0000
Nd 0.6667 0.3333 0.0000
In 0.0000 0.3318 0.5000
In 0.0000 0.6682 0.5000
In 0.3318 0.0000 0.5000
In 0.3318 0.3318 0.5000
In 0.6682 0.0000 0.5000
In 0.6682 0.6682 0.5000

Main lines, by intensity (2θ = 15–90°):
2θ 31.93, I = 100
2θ 35.92, I = 75
2θ 48.81, I = 30
2θ 62.08, I = 29
2θ 62.73, I = 29
2θ 64.57, I = 13

=====

Entry 4:
Diffraction record for K8Na5. The powder X-ray diffraction pattern is computed, not measured: it uses a crystal structure in Alexandria, relaxed with GGA-PBE and Cu Ka.
Peak positions follow from Bragg's law for the DFT cell and can differ from measured ones.

Atomic structure:
a = 12.5000 Å, b = 12.5000 Å, c = 12.5000 Å
α = 109.34°, β = 109.34°, γ = 109.34°
Fractional positions:
K 0.0000 0.0000 0.0000
K 0.0738 0.0738 0.7097
K 0.0738 0.7097 0.0738
K 0.3071 0.9282 0.9282
K 0.3211 0.5560 0.9520
K 0.3211 0.9520 0.5560
K 0.5560 0.3211 0.9520
K 0.5560 0.9520 0.3211
K 0.6485 0.6485 0.8812
K 0.6485 0.8812 0.6485
K 0.7097 0.0738 0.0738
K 0.8812 0.6485 0.6485
K 0.9282 0.3071 0.9282
K 0.9282 0.9282 0.3071
K 0.9520 0.3211 0.5560
K 0.9520 0.5560 0.3211
Na 0.1220 0.3169 0.3169
Na 0.3009 0.3009 0.6051
Na 0.3009 0.6051 0.3009
Na 0.3043 0.6327 0.6327
Na 0.3169 0.1220 0.3169
Na 0.3169 0.3169 0.1220
Na 0.4813 0.4813 0.4813
Na 0.6051 0.3009 0.3009
Na 0.6327 0.3043 0.6327
Na 0.6327 0.6327 0.3043

Main lines, by intensity (2θ = 15–90°):
2θ 26.12, I = 100
2θ 26.21, I = 54
2θ 23.06, I = 22
2θ 29.02, I = 15
2θ 45.99, I = 12
2θ 22.97, I = 12

=====

Entry 5:
Diffraction record for Tb4Pm2NdMg. The powder X-ray diffraction pattern is computed, not measured: it uses a crystal structure in Alexandria, relaxed with GGA-PBE and Cu Ka.
Peak positions follow from Bragg's law for the DFT cell and can differ from measured ones.

Atomic structure:
a = 4.9947 Å, b = 5.0059 Å, c = 10.2247 Å
α = 90.00°, β = 90.00°, γ = 90.00°
Fractional positions:
Tb 0.0000 0.0000 0.2463
Tb 0.0000 0.0000 0.7537
Tb 0.5000 0.5000 0.2462
Tb 0.5000 0.5000 0.7538
Pm 0.0000 0.5000 0.0000
Pm 0.5000 0.0000 0.5000
Nd 0.0000 0.5000 0.5000
Mg 0.5000 0.0000 0.0000

Main lines, by intensity (2θ = 15–90°):
2θ 30.75, I = 100
2θ 35.92, I = 33
2θ 51.10, I = 24
2θ 35.11, I = 18
2θ 60.29, I = 15
2θ 61.43, I = 14

=====

Entry 6:
Diffraction record for Dy6PbS5. The powder X-ray diffraction pattern is computed, not measured: it uses a crystal structure in Alexandria, relaxed with GGA-PBE and Cu Ka.
Peak positions follow from Bragg's law for the DFT cell and can differ from measured ones.

Atomic structure:
a = 6.9280 Å, b = 6.9280 Å, c = 6.9673 Å
α = 99.59°, β = 99.59°, γ = 120.01°
Fractional positions:
Dy 0.0629 0.4122 0.7373
Dy 0.2371 0.2371 0.2599
Dy 0.4122 0.0629 0.7373
Dy 0.5878 0.9371 0.2627
Dy 0.7629 0.7629 0.7401
Dy 0.9371 0.5878 0.2627
Pb 0.5000 0.5000 0.0000
S 0.0000 0.0000 0.5000
S 0.1681 0.8319 0.0000
S 0.3393 0.6607 0.5000
S 0.6607 0.3393 0.5000
S 0.8319 0.1681 0.0000

Main lines, by intensity (2θ = 15–90°):
2θ 31.57, I = 100
2θ 45.17, I = 36
2θ 45.35, I = 36
2θ 27.29, I = 28
2θ 56.31, I = 18
2θ 75.08, I = 15